Diffraction record for SrLi3TaN3. The powder XRD pattern is simulated, not measured: it uses a crystal structure in OQMD, relaxed with PBE and Cu Kα, 1.54184 Å.
Intensities are scaled so that the largest is 100.

Cell and atoms:
```
data_SrLi3TaN3
_chemical_formula_sum 'Sr6 Li18 Ta6 N18'
_symmetry_space_group_name_H-M 'R -3'
_symmetry_Int_Tables_number 148
_symmetry_space_group_name_Hall '-R 3'
_cell_length_a 6.1148
_cell_length_b 6.1148
_cell_length_c 19.7209
_cell_angle_alpha 90.00
_cell_angle_beta 90.00
_cell_angle_gamma 120.00
loop_
_atom_site_label
_atom_site_type_symbol
_atom_site_fract_x
_atom_site_fract_y
_atom_site_fract_z
_atom_site_occupancy
Sr1 Sr 0.0000 0.0000 0.1585 1
Li1 Li 0.0347 0.4106 0.3665 1
Ta1 Ta 0.0000 0.0000 0.4287 1
N1 N 0.9997 0.3074 0.5927 1
```

Principal peaks in the range 5 to 70 degrees two-theta, in order of rising 2θ:
two_theta, Rel. int., index
13.47, 40, 0 0 3
17.34, 81, 1 0 1
19.02, 28, 0 1 2
28.21, 35, 0 1 5
29.21, 100, 1 1 0
32.29, 52, 2 -1 3
36.11, 64, 1 0 7
40.34, 28, 0 1 8
51.79, 33, 3 0 0
56.39, 33, 3 -1 7

***

Diffraction record for LaTb2Al7Cu2. The powder XRD pattern is simulated, not measured: it uses a crystal structure in OQMD, relaxed with PBE and Cu Kα, 1.54184 Å.
Intensities are scaled so that the largest is 100.

Cell and atoms:
```
data_LaTb2Al7Cu2
_chemical_formula_sum 'La3 Tb6 Al21 Cu6'
_symmetry_space_group_name_H-M 'R -3 m'
_symmetry_Int_Tables_number 166
_symmetry_space_group_name_Hall '-R 3 2"'
_cell_length_a 5.5398
_cell_length_b 5.5398
_cell_length_c 25.7369
_cell_angle_alpha 90.00
_cell_angle_beta 90.00
_cell_angle_gamma 120.00
loop_
_atom_site_label
_atom_site_type_symbol
_atom_site_fract_x
_atom_site_fract_y
_atom_site_fract_z
_atom_site_occupancy
La1 La 0.0000 0.0000 0.0000 1
Tb1 Tb 0.0000 0.0000 0.1419 1
Al1 Al 0.0000 0.0000 0.5000 1
Al2 Al 0.0065 0.5033 0.9204 1
Cu1 Cu 0.0000 0.0000 0.3354 1
```

Principal peaks in the range 5 to 70 degrees two-theta, in order of rising 2θ:
two_theta, Rel. int., index
18.82, 37, 1 0 1
20.71, 29, 0 0 6
30.64, 49, 1 0 7
32.32, 88, 1 1 0
33.54, 32, 0 1 8
37.66, 26, 0 2 1
38.70, 100, 1 1 6
61.92, 24, 3 0 6
63.80, 27, 2 0 14
67.65, 19, 2 2 0

***

Diffraction record for Hf2ScOs3. The powder XRD pattern is simulated, not measured: it uses a crystal structure in OQMD, relaxed with PBE and Cu Kα, 1.54184 Å.
Intensities are scaled so that the largest is 100.

Cell and atoms:
```
data_Hf2ScOs3
_chemical_formula_sum 'Hf2 Sc1 Os3'
_symmetry_space_group_name_H-M 'P 4/m m m'
_symmetry_Int_Tables_number 123
_symmetry_space_group_name_Hall '-P 4 2'
_cell_length_a 3.2358
_cell_length_b 3.2358
_cell_length_c 9.6970
_cell_angle_alpha 90.00
_cell_angle_beta 90.00
_cell_angle_gamma 90.00
loop_
_atom_site_label
_atom_site_type_symbol
_atom_site_fract_x
_atom_site_fract_y
_atom_site_fract_z
_atom_site_occupancy
Hf1 Hf 0.0000 0.0000 0.1698 1
Sc1 Sc 0.0000 0.0000 0.5000 1
Os1 Os 0.5000 0.5000 0.0000 1
Os2 Os 0.5000 0.5000 0.3310 1
```

Principal peaks in the range 5 to 70 degrees two-theta, in order of rising 2θ:
two_theta, Rel. int., index
9.12, 9, 0 0 1
18.30, 3, 0 0 2
27.58, 4, 0 0 3
29.09, 2, 1 0 1
33.29, 2, 1 0 2
39.40, 100, 1 1 0
43.75, 1, 1 1 2
55.21, 1, 1 0 5
56.94, 17, 2 0 0
64.41, 1, 1 0 6

***

Diffraction record for Dy7Te2Pd2. The powder XRD pattern is simulated, not measured: it uses a crystal structure in OQMD, relaxed with PBE and Cu Kα, 1.54184 Å.
Intensities are scaled so that the largest is 100.

Cell and atoms:
```
data_Dy7Te2Pd2
_chemical_formula_sum 'Dy14 Te4 Pd4'
_symmetry_space_group_name_H-M 'I m m 2'
_symmetry_Int_Tables_number 44
_cell_length_a 3.9409
_cell_length_b 15.8119
_cell_length_c 9.6124
_cell_angle_alpha 90.00
_cell_angle_beta 90.00
_cell_angle_gamma 90.00
loop_
_symmetry_equiv_pos_as_xyz
'x,y,z'
'-x,-y,z'
'-x,y,z'
'x,-y,z'
'x+1/2,y+1/2,z+1/2'
'-x+1/2,-y+1/2,z+1/2'
'-x+1/2,y+1/2,z+1/2'
'x+1/2,-y+1/2,z+1/2'
loop_
_atom_site_label
_atom_site_type_symbol
_atom_site_fract_x
_atom_site_fract_y
_atom_site_fract_z
_atom_site_occupancy
Dy1 Dy 0.0000 0.0000 0.0000 1
Dy2 Dy 0.0000 0.1283 0.4173 1
Dy3 Dy 0.0000 0.3183 0.6238 1
Dy4 Dy 0.0000 0.3559 0.2638 1
Te1 Te 0.0000 0.0000 0.6643 1
Te2 Te 0.0000 0.5000 0.7645 1
Pd1 Pd 0.0000 0.2378 0.9296 1
```

Principal peaks in the range 5 to 70 degrees two-theta, in order of rising 2θ:
two_theta, Rel. int., index
28.28, 18, 1 3 0
29.74, 21, 0 5 1
29.86, 46, 1 1 2
32.71, 59, 0 3 3
33.43, 100, 1 4 1
33.99, 60, 0 6 0
36.13, 20, 1 0 3
37.94, 22, 1 2 3
46.06, 28, 2 0 0
57.64, 24, 2 3 3

***

Diffraction record for AgH10C3N2O3. The powder XRD pattern is simulated, not measured: it uses a crystal structure in OQMD, relaxed with PBE and Cu Kα, 1.54184 Å.
Intensities are scaled so that the largest is 100.

Cell and atoms:
```
data_AgH10C3N2O3
_chemical_formula_sum 'Ag2 H20 C6 N4 O6'
_symmetry_space_group_name_H-M 'P -1'
_symmetry_Int_Tables_number 2
_cell_length_a 6.7204
_cell_length_b 7.1821
_cell_length_c 7.4803
_cell_angle_alpha 61.69
_cell_angle_beta 81.17
_cell_angle_gamma 77.68
loop_
_symmetry_equiv_pos_as_xyz
'x,y,z'
'-x,-y,-z'
loop_
_atom_site_label
_atom_site_type_symbol
_atom_site_fract_x
_atom_site_fract_y
_atom_site_fract_z
_atom_site_occupancy
Ag1 Ag 0.1607 0.4823 0.1839 1
H1 H 0.0333 0.0904 0.1888 1
H2 H 0.0705 0.7195 0.4716 1
H3 H 0.1254 0.3488 0.5801 1
H4 H 0.1480 0.9941 0.8944 1
H5 H 0.1818 0.9893 0.4829 1
H6 H 0.2517 0.6332 0.7899 1
H7 H 0.3616 0.0671 0.5706 1
H8 H 0.3640 0.2192 0.9636 1
H9 H 0.3789 0.0039 0.1804 1
H10 H 0.3991 0.7232 0.8831 1
C1 C 0.1292 0.9209 0.7994 1
C2 C 0.1983 0.0601 0.5801 1
C3 C 0.4964 0.3970 0.6041 1
N1 N 0.0854 0.2809 0.4991 1
N2 N 0.2504 0.7040 0.8822 1
O1 O 0.3320 0.3882 0.7154 1
O2 O 0.3471 0.7466 0.3530 1
O3 O 0.3826 0.1609 0.1115 1
```

Principal peaks in the range 5 to 70 degrees two-theta, in order of rising 2θ:
two_theta, Rel. int., index
13.50, 23, 1 0 0
14.19, 100, 0 1 0
19.70, 26, 1 0 -1
21.87, 68, -1 1 1
25.73, 26, 1 1 2
27.96, 75, 2 1 1
29.34, 57, 1 2 2
29.68, 41, 2 0 1
31.40, 27, -1 2 1
36.25, 22, 0 1 -2

***

Diffraction record for NdHoMg2Sn2. The powder XRD pattern is simulated, not measured: it uses a crystal structure in OQMD, relaxed with PBE and Cu Kα, 1.54184 Å.
Intensities are scaled so that the largest is 100.

Cell and atoms:
```
data_NdHoMg2Sn2
_chemical_formula_sum 'Nd2 Ho2 Mg4 Sn4'
_symmetry_space_group_name_H-M 'I 4 m m'
_symmetry_Int_Tables_number 107
_symmetry_space_group_name_Hall 'I 4 -2'
_cell_length_a 4.4473
_cell_length_b 4.4473
_cell_length_c 16.0402
_cell_angle_alpha 90.00
_cell_angle_beta 90.00
_cell_angle_gamma 90.00
loop_
_atom_site_label
_atom_site_type_symbol
_atom_site_fract_x
_atom_site_fract_y
_atom_site_fract_z
_atom_site_occupancy
Nd1 Nd 0.0000 0.0000 0.0000 1
Ho1 Ho 0.0000 0.0000 0.6677 1
Mg1 Mg 0.0000 0.5000 0.3323 1
Sn1 Sn 0.0000 0.0000 0.1988 1
Sn2 Sn 0.0000 0.0000 0.4680 1
```

Principal peaks in the range 5 to 70 degrees two-theta, in order of rising 2θ:
two_theta, Rel. int., index
11.03, 28, 0 0 2
22.17, 43, 0 0 4
28.38, 100, 1 1 0
30.53, 36, 1 1 2
33.52, 26, 0 0 6
34.47, 34, 1 0 5
36.30, 84, 1 1 4
40.57, 56, 2 0 0
44.48, 29, 1 1 6
53.61, 27, 2 0 6